The following is a computed powder diffraction line list of NaAgMoO4. It was derived from a DFT-relaxed cell (GGA+U, Alexandria), using Cu Kα (λ = 1.5418 Å).
Peak positions follow from Bragg's law for the DFT cell and can differ from measured ones.

Main lines, by angle (10 to 80 degrees two-theta):
d = 6.473 Å, I = 92, (1 0 0); d = 4.664 Å, I = 99, (1 0 -1); d = 4.634 Å, I = 53, (1 0 1); d = 3.736 Å, I = 61, (1 1 -1); d = 3.720 Å, I = 60, (1 1 1); d = 3.119 Å, I = 78, (0 2 0); d = 2.945 Å, I = 100, (0 1 2); d = 2.645 Å, I = 47, (2 1 -1)

Crystal structure
a = 6.4736 Å, b = 6.2382 Å, c = 6.6811 Å
α = 90.00°, β = 90.38°, γ = 90.00°
Fractional coordinates of all 14 atoms:
Na 0.1493 0.2500 0.4152
Na 0.8507 0.7500 0.5848
Ag 0.3294 0.2500 0.8812
Ag 0.6706 0.7500 0.1188
Mo 0.3385 0.7500 0.6450
Mo 0.6615 0.2500 0.3550
O 0.1701 0.5203 0.6769
O 0.1701 0.9797 0.6769
O 0.4292 0.7500 0.3954
O 0.4347 0.2500 0.1928
O 0.5653 0.7500 0.8072
O 0.5708 0.2500 0.6046
O 0.8299 0.0203 0.3231
O 0.8299 0.4797 0.3231